Record 1
For Nd2Sm3Pb4, DFT lattice parameters and positions (GGA-PBE) gives the theoretical PXRD pattern in this record (λ = 1.5418 Å (Cu Kα)).

Structure:
```
Nd2Sm3Pb4
1.0
8.6250 0.0000 0.0000
0.0000 8.5858 0.0000
-3.0594 0.0000 7.7150
Nd Sm Pb
4 6 8
Direct
0.1950 0.1802 0.0584
0.1950 0.3198 0.5584
0.8050 0.6802 0.4416
0.8050 0.8198 0.9416
0.2431 0.6620 0.2353
0.2431 0.8380 0.7353
0.5000 0.0000 0.5000
0.5000 0.5000 0.0000
0.7569 0.1620 0.2647
0.7569 0.3380 0.7647
0.0851 0.5376 0.8276
0.0851 0.9624 0.3276
0.4881 0.1398 0.8616
0.4881 0.3602 0.3616
0.5119 0.6398 0.6384
0.5119 0.8602 0.1384
0.9149 0.0376 0.6724
0.9149 0.4624 0.1724
```

Largest 12 diffraction maxima, low angle first, 2θ = 10–90°:
(2 1 -2), 2θ = 27.54°, 3.239 Å, I = 48; (1 2 1), 2θ = 28.01°, 3.186 Å, I = 35; (2 2 -1), 2θ = 29.55°, 3.023 Å, I = 100; (1 2 -2), 2θ = 30.06°, 2.972 Å, I = 55; (2 2 0), 2θ = 30.51°, 2.930 Å, I = 62; (1 1 2), 2θ = 31.00°, 2.885 Å, I = 90; (3 0 -2), 2θ = 33.01°, 2.714 Å, I = 41; (0 3 1), 2θ = 33.39°, 2.683 Å, I = 54; (3 0 0), 2θ = 33.53°, 2.673 Å, I = 33; (1 3 -1), 2θ = 33.84°, 2.649 Å, I = 25; (1 1 -3), 2θ = 34.09°, 2.630 Å, I = 81; (0 2 5), 2θ = 64.15°, 1.452 Å, I = 27

***

Record 2
For DyNpSeS2, DFT lattice parameters and positions (GGA-PBE) gives the theoretical PXRD pattern in this record (λ = 1.5418 Å (Cu Kα)).

Structure:
```
DyNpSeS2
1.0
4.3238 0.0000 0.0000
0.0000 4.3238 0.0000
0.0000 0.0000 13.2990
Dy Np Se S
2 2 2 4
Direct
0.0000 0.0000 0.0000
0.5000 0.5000 0.5000
0.0000 0.0000 0.2649
0.5000 0.5000 0.7649
0.0000 0.0000 0.6370
0.5000 0.5000 0.1370
0.0000 0.5000 0.3848
0.0000 0.5000 0.8848
0.5000 0.0000 0.3848
0.5000 0.0000 0.8848
```

Largest 12 diffraction maxima, low angle first, 2θ = 10–90°:
(1 0 1), 2θ = 21.61°, 4.112 Å, I = 46; (1 0 3), 2θ = 28.84°, 3.095 Å, I = 100; (1 1 0), 2θ = 29.21°, 3.057 Å, I = 51; (1 0 5), 2θ = 39.79°, 2.265 Å, I = 24; (1 1 4), 2θ = 40.07°, 2.250 Å, I = 37; (2 0 0), 2θ = 41.78°, 2.162 Å, I = 34; (2 1 1), 2θ = 47.52°, 1.914 Å, I = 12; (2 1 3), 2θ = 51.57°, 1.772 Å, I = 41; (2 1 5), 2θ = 59.06°, 1.564 Å, I = 15; (2 2 0), 2θ = 60.57°, 1.529 Å, I = 11; (2 0 8), 2θ = 71.61°, 1.318 Å, I = 13; (3 1 4), 2θ = 75.13°, 1.265 Å, I = 12

***

Record 3
For Ce4TlHg, DFT lattice parameters and positions (GGA-PBE) gives the theoretical PXRD pattern in this record (λ = 1.5418 Å (Cu Kα)).

Structure:
```
Ce4TlHg
1.0
6.0926 0.0000 0.0000
0.7984 6.2453 0.0000
3.0404 -0.0207 8.6531
Ce Tl Hg
8 2 2
Direct
0.0063 0.0376 0.1466
0.1301 0.5320 0.3153
0.1523 0.5380 0.8535
0.4452 0.0300 0.6848
0.5548 0.9700 0.3152
0.8477 0.4620 0.1465
0.8699 0.4680 0.6847
0.9937 0.9624 0.8534
0.4968 0.2501 0.0053
0.5032 0.7499 0.9947
0.0000 0.0000 0.5000
0.5000 0.5000 0.5000
```

Largest 12 diffraction maxima, low angle first, 2θ = 10–90°:
(0 2 0), 2θ = 28.59°, 3.123 Å, I = 47; (1 0 3), 2θ = 29.75°, 3.004 Å, I = 47; (0 2 1), 2θ = 30.43°, 2.937 Å, I = 38; (2 0 0), 2θ = 31.36°, 2.853 Å, I = 100; (1 1 3), 2θ = 32.25°, 2.776 Å, I = 87; (2 1 0), 2θ = 32.92°, 2.721 Å, I = 35; (-1 1 2), 2θ = 33.92°, 2.642 Å, I = 68; (1 -2 1), 2θ = 34.35°, 2.610 Å, I = 67; (2 2 1), 2θ = 38.75°, 2.324 Å, I = 25; (1 0 4), 2θ = 39.38°, 2.288 Å, I = 38; (1 1 4), 2θ = 41.37°, 2.183 Å, I = 21; (1 3 3), 2θ = 51.90°, 1.762 Å, I = 31